Simulated XRD peak list of Li2VP2O7 for Cu Ka, from a cell relaxed with PBE+U.
Intensities are scaled so that the largest is 100.

Crystal structure
```
Li2VP2O7
1.0
5.358 0.000 0.000
-1.936 6.449 0.000
-2.157 -2.859 8.053
Li V P O
4 2 4 14
direct
0.078 0.469 0.252
0.264 0.171 0.986
0.736 0.829 0.014
0.922 0.531 0.748
0.226 0.234 0.638
0.774 0.766 0.362
0.237 0.823 0.121
0.342 0.757 0.612
0.658 0.243 0.388
0.763 0.177 0.879
0.025 0.736 0.200
0.088 0.815 0.946
0.144 0.883 0.588
0.222 0.557 0.661
0.395 0.088 0.217
0.448 0.705 0.468
0.458 0.719 0.129
0.542 0.281 0.871
0.552 0.295 0.532
0.605 0.912 0.783
0.778 0.443 0.339
0.856 0.117 0.412
0.912 0.185 0.054
0.975 0.264 0.800
```

The 10 most intense peaks (10° ≤ 2θ ≤ 90°), in order of falling intensity:
23.51°, d 3.784, rel. 100, (1 0 -2)
29.40°, d 3.038, rel. 62, (0 2 0)
33.44°, d 2.680, rel. 50, (1 0 2)
10.99°, d 8.053, rel. 38, (0 0 1)
27.44°, d 3.250, rel. 38, (1 1 -2)
33.87°, d 2.647, rel. 32, (-2 1 1)
21.06°, d 4.219, rel. 31, (0 1 1)
29.14°, d 3.065, rel. 31, (1 -2 1)
22.49°, d 3.954, rel. 26, (1 -1 1)
24.48°, d 3.636, rel. 19, (1 0 1)